# 1
For Tb4Y5In4, DFT lattice parameters and positions (PBE) gives the theoretical powder X-ray diffraction pattern in this record (Cu Kα, 1.54184 Å).

Cell and atoms:
```
Tb4Y5In4
1.0
-6.108 6.108 2.557
6.108 -6.108 2.557
6.108 6.108 -2.557
Tb Y In
4 5 4
Direct
0.098 0.609 0.707 Tb
0.391 0.098 0.489 Tb
0.609 0.902 0.511 Tb
0.902 0.391 0.293 Tb
0.000 0.000 0.000 Y
0.313 0.403 0.716 Y
0.403 0.687 0.090 Y
0.597 0.313 0.910 Y
0.687 0.597 0.284 Y
0.108 0.234 0.342 In
0.234 0.892 0.126 In
0.766 0.108 0.874 In
0.892 0.766 0.658 In
```

Principal peaks in the range 2θ from 15° to 90°, in order of rising 2θ:
2θ (°)  I/Imax
29.2  9.7
31.7  100.0
35.1  27.7
37.5  17.7
44.5  4.7
46.3  5.5
52.3  13.5
53.0  6.3
57.9  13.2
60.8  15.1
65.2  6.7
68.1  7.7

# 2
For TbY4In5, DFT lattice parameters and positions (PBE) gives the theoretical powder X-ray diffraction pattern in this record (Cu Kα, 1.54184 Å).

Cell and atoms:
```
TbY4In5
1.0
3.756 0.000 0.000
0.000 3.756 0.000
0.000 0.000 18.960
Tb Y In
1 4 5
Direct
0.000 0.000 0.000 Tb
0.000 0.000 0.200 Y
0.000 0.000 0.400 Y
0.000 0.000 0.600 Y
0.000 0.000 0.800 Y
0.500 0.500 0.100 In
0.500 0.500 0.300 In
0.500 0.500 0.500 In
0.500 0.500 0.700 In
0.500 0.500 0.900 In
```

Principal peaks in the range 2θ from 15° to 90°, in order of rising 2θ:
2θ (°)  I/Imax
24.2  0.8
25.5  0.7
33.6  100.0
33.7  49.3
48.0  9.1
48.5  17.4
59.9  18.2
60.3  35.6
70.6  11.0
71.0  5.4
80.1  7.7
80.9  15.1

# 3
For TbY3In3, DFT lattice parameters and positions (PBE) gives the theoretical powder X-ray diffraction pattern in this record (Cu Kα, 1.54184 Å).

Cell and atoms:
```
TbY3In3
1.0
9.336 0.000 0.000
0.000 9.336 0.000
0.000 0.000 9.336
Tb Y In
4 12 12
Direct
0.075 0.425 0.575 Tb
0.425 0.575 0.075 Tb
0.575 0.075 0.425 Tb
0.925 0.925 0.925 Tb
0.075 0.575 0.925 Y
0.176 0.824 0.324 Y
0.177 0.177 0.177 Y
0.323 0.823 0.677 Y
0.324 0.176 0.824 Y
0.425 0.425 0.425 Y
0.575 0.925 0.075 Y
0.676 0.676 0.676 Y
0.677 0.323 0.823 Y
0.823 0.677 0.323 Y
0.824 0.324 0.176 Y
0.925 0.075 0.575 Y
0.000 0.250 0.877 In
0.000 0.750 0.623 In
0.123 0.500 0.250 In
0.250 0.123 0.500 In
0.250 0.877 0.000 In
0.377 0.500 0.750 In
0.500 0.250 0.123 In
0.500 0.750 0.377 In
0.623 0.000 0.750 In
0.750 0.377 0.500 In
0.750 0.623 0.000 In
0.877 0.000 0.250 In
```

Principal peaks in the range 2θ from 15° to 90°, in order of rising 2θ:
2θ (°)  I/Imax
23.3  6.1
30.3  100.0
36.0  69.4
43.3  14.6
45.6  10.4
47.7  15.1
49.8  18.3
61.2  26.4
63.0  11.0
64.7  14.0
69.8  5.6
74.7  15.1

# 4
For Tb3Zn4In2, DFT lattice parameters and positions (PBE) gives the theoretical powder X-ray diffraction pattern in this record (Cu Kα, 1.54184 Å).

Cell and atoms:
```
Tb3Zn4In2
1.0
5.367 -2.318 0.000
5.367 2.318 0.000
-3.633 0.000 8.032
Tb Zn In
3 4 2
Direct
0.000 0.000 0.000 Tb
0.336 0.336 0.326 Tb
0.664 0.664 0.674 Tb
0.071 0.071 0.414 Zn
0.285 0.285 0.962 Zn
0.715 0.715 0.038 Zn
0.929 0.929 0.586 Zn
0.385 0.385 0.720 In
0.615 0.615 0.280 In
```

Principal peaks in the range 2θ from 15° to 90°, in order of rising 2θ:
2θ (°)  I/Imax
22.1  19.7
33.5  81.2
33.6  80.6
38.8  100.0
51.1  13.7
52.2  14.6
52.3  22.8
65.8  11.6
66.0  12.5
66.1  12.8
66.8  13.2
67.0  28.2

# 5
For Tb3ZnIn3, DFT lattice parameters and positions (PBE) gives the theoretical powder X-ray diffraction pattern in this record (Cu Kα, 1.54184 Å).

Cell and atoms:
```
Tb3ZnIn3
1.0
5.627 -2.314 0.000
5.627 2.314 0.000
-4.874 0.000 14.132
Tb Zn In
6 2 6
Direct
0.039 0.039 0.384 Tb
0.097 0.097 0.919 Tb
0.238 0.238 0.224 Tb
0.762 0.762 0.776 Tb
0.903 0.903 0.081 Tb
0.961 0.961 0.616 Tb
0.257 0.257 0.614 Zn
0.743 0.743 0.386 Zn
0.362 0.362 0.455 In
0.379 0.379 0.926 In
0.474 0.474 0.764 In
0.526 0.526 0.236 In
0.621 0.621 0.074 In
0.638 0.638 0.545 In
```

Principal peaks in the range 2θ from 15° to 90°, in order of rising 2θ:
2θ (°)  I/Imax
25.9  9.8
30.1  33.0
30.8  100.0
31.8  40.4
35.3  22.7
37.3  59.6
38.2  27.0
38.9  50.8
51.1  19.8
55.7  17.7
61.0  14.6
65.5  11.3

# 6
For Tb3Zn2In4, DFT lattice parameters and positions (PBE) gives the theoretical powder X-ray diffraction pattern in this record (Cu Kα, 1.54184 Å).

Cell and atoms:
```
Tb3Zn2In4
1.0
5.508 -2.386 0.000
5.508 2.386 0.000
-3.939 0.000 8.163
Tb Zn In
3 2 4
Direct
0.000 0.000 0.000 Tb
0.334 0.334 0.337 Tb
0.666 0.666 0.663 Tb
0.389 0.389 0.717 Zn
0.611 0.611 0.283 Zn
0.057 0.057 0.382 In
0.280 0.280 0.934 In
0.720 0.720 0.066 In
0.943 0.943 0.618 In
```

Principal peaks in the range 2θ from 15° to 90°, in order of rising 2θ:
2θ (°)  I/Imax
32.9  100.0
33.0  49.7
37.5  67.0
37.7  33.7
50.7  28.9
50.9  28.5
64.7  26.3
64.8  39.9
65.1  13.8
67.9  11.3
83.9  8.5
89.4  11.2

# 7
For Tb12ZrIn3, DFT lattice parameters and positions (PBE) gives the theoretical powder X-ray diffraction pattern in this record (Cu Kα, 1.54184 Å).

Cell and atoms:
```
Tb12ZrIn3
1.0
4.850 0.000 0.000
0.000 4.850 0.000
0.000 0.000 19.668
Tb Zr In
12 1 3
Direct
0.000 0.000 0.000 Tb
0.000 0.000 0.249 Tb
0.000 0.000 0.500 Tb
0.000 0.000 0.751 Tb
0.000 0.500 0.125 Tb
0.000 0.500 0.376 Tb
0.000 0.500 0.624 Tb
0.000 0.500 0.875 Tb
0.500 0.000 0.125 Tb
0.500 0.000 0.376 Tb
0.500 0.000 0.624 Tb
0.500 0.000 0.875 Tb
0.500 0.500 0.500 Zr
0.500 0.500 0.000 In
0.500 0.500 0.247 In
0.500 0.500 0.753 In
```

Principal peaks in the range 2θ from 15° to 90°, in order of rising 2θ:
2θ (°)  I/Imax
31.8  100.0
36.5  17.2
37.1  33.2
53.0  23.5
53.4  11.6
62.8  14.0
63.5  27.3
66.5  11.9
79.0  3.7
87.0  11.7
87.6  5.8
89.4  5.5

# 8
For TbZrIn3, DFT lattice parameters and positions (PBE) gives the theoretical powder X-ray diffraction pattern in this record (Cu Kα, 1.54184 Å).

Cell and atoms:
```
TbZrIn3
1.0
4.346 0.000 0.000
0.000 4.346 0.000
0.000 0.000 14.220
Tb Zr In
2 2 6
Direct
0.000 0.000 0.000 Tb
0.500 0.500 0.500 Tb
0.000 0.000 0.637 Zr
0.500 0.500 0.137 Zr
0.000 0.000 0.437 In
0.000 0.500 0.282 In
0.000 0.500 0.782 In
0.500 0.000 0.282 In
0.500 0.000 0.782 In
0.500 0.500 0.937 In
```

Principal peaks in the range 2θ from 15° to 90°, in order of rising 2θ:
2θ (°)  I/Imax
25.0  11.7
27.9  27.8
31.7  100.0
37.8  29.0
38.0  11.1
38.7  30.2
41.6  41.9
50.8  10.5
57.4  16.8
57.5  12.7
60.2  17.3
69.7  19.9

# 9
For TbZrIn, DFT lattice parameters and positions (PBE) gives the theoretical powder X-ray diffraction pattern in this record (Cu Kα, 1.54184 Å).

Cell and atoms:
```
TbZrIn
1.0
3.416 0.000 0.000
0.000 3.416 0.000
0.000 0.000 13.220
Tb Zr In
2 2 2
Direct
0.000 0.000 0.000 Tb
0.500 0.500 0.500 Tb
0.000 0.000 0.324 Zr
0.500 0.500 0.824 Zr
0.000 0.000 0.672 In
0.500 0.500 0.172 In
```

Principal peaks in the range 2θ from 15° to 90°, in order of rising 2θ:
2θ (°)  I/Imax
27.0  7.6
33.2  100.0
37.2  36.9
41.0  13.5
46.6  2.3
53.7  12.7
55.6  2.7
56.5  20.7
64.6  28.4
69.7  21.2
79.3  4.0
88.8  7.4

# 10
For Tb2ZrIn9, DFT lattice parameters and positions (PBE) gives the theoretical powder X-ray diffraction pattern in this record (Cu Kα, 1.54184 Å).

Cell and atoms:
```
Tb2ZrIn9
1.0
4.607 0.000 0.000
0.000 4.607 0.000
0.000 0.000 13.761
Tb Zr In
2 1 9
Direct
0.000 0.000 0.173 Tb
0.000 0.000 0.827 Tb
0.000 0.000 0.500 Zr
0.000 0.500 0.000 In
0.000 0.500 0.340 In
0.000 0.500 0.660 In
0.500 0.000 0.000 In
0.500 0.000 0.340 In
0.500 0.000 0.660 In
0.500 0.500 0.168 In
0.500 0.500 0.500 In
0.500 0.500 0.832 In
```

Principal peaks in the range 2θ from 15° to 90°, in order of rising 2θ:
2θ (°)  I/Imax
23.2  0.8
30.4  0.9
33.7  100.0
39.1  33.5
39.3  16.0
56.5  11.2
56.6  21.5
67.4  25.6
67.7  11.9
71.0  10.8
84.0  3.6
84.5  1.5

# 11
For TbZrIn2, DFT lattice parameters and positions (PBE) gives the theoretical powder X-ray diffraction pattern in this record (Cu Kα, 1.54184 Å).

Cell and atoms:
```
TbZrIn2
1.0
3.265 0.000 0.000
0.000 3.324 0.000
0.000 0.000 8.906
Tb Zr In
1 1 2
Direct
0.000 0.000 0.000 Tb
0.000 0.000 0.500 Zr
0.500 0.500 0.262 In
0.500 0.500 0.738 In
```

Principal peaks in the range 2θ from 15° to 90°, in order of rising 2θ:
2θ (°)  I/Imax
33.6  100.0
34.0  96.8
38.7  68.9
40.5  28.9
55.3  11.9
56.4  11.5
57.2  41.1
66.5  26.7
67.3  25.8
69.3  10.8
69.6  10.7
70.7  10.8

# 12
For InTc3, DFT lattice parameters and positions (PBE) gives the theoretical powder X-ray diffraction pattern in this record (Cu Kα, 1.54184 Å).

Cell and atoms:
```
InTc3
1.0
2.890 0.000 0.000
-1.445 2.502 0.000
0.000 0.000 8.859
In Tc
1 3
Direct
0.000 0.000 0.000 In
0.000 0.000 0.500 Tc
0.667 0.333 0.267 Tc
0.667 0.333 0.733 Tc
```

Principal peaks in the range 2θ from 15° to 90°, in order of rising 2θ:
2θ (°)  I/Imax
30.3  2.0
35.9  25.8
40.7  21.8
41.4  100.0
47.6  1.8
55.4  13.3
64.5  20.4
74.6  14.0
76.1  2.7
79.1  17.8
79.6  14.1
88.2  1.7

# 13
For In3Tc5, DFT lattice parameters and positions (PBE) gives the theoretical powder X-ray diffraction pattern in this record (Cu Kα, 1.54184 Å).

Cell and atoms:
```
In3Tc5
1.0
6.568 0.000 0.000
0.000 9.089 0.000
0.000 0.000 4.469
In Tc
6 10
Direct
0.000 0.000 0.000 In
0.000 0.246 0.500 In
0.000 0.754 0.500 In
0.500 0.254 0.500 In
0.500 0.500 0.000 In
0.500 0.746 0.500 In
0.000 0.500 0.000 Tc
0.233 0.500 0.500 Tc
0.250 0.250 0.000 Tc
0.250 0.750 0.000 Tc
0.267 0.000 0.500 Tc
0.500 0.000 0.000 Tc
0.733 0.000 0.500 Tc
0.750 0.250 0.000 Tc
0.750 0.750 0.000 Tc
0.767 0.500 0.500 Tc
```

Principal peaks in the range 2θ from 15° to 90°, in order of rising 2θ:
2θ (°)  I/Imax
39.4  100.0
39.7  24.7
40.4  23.6
56.0  8.4
57.9  15.9
70.8  8.2
71.3  8.0
71.8  16.1
72.8  15.7
84.8  10.1
85.5  2.6
87.3  2.5

# 14
For InTcTe2, DFT lattice parameters and positions (PBE) gives the theoretical powder X-ray diffraction pattern in this record (Cu Kα, 1.54184 Å).

Cell and atoms:
```
InTcTe2
1.0
3.268 0.000 0.000
0.000 3.303 0.000
0.000 0.000 19.506
In Tc Te
2 2 4
Direct
0.000 0.000 0.000 In
0.500 0.500 0.500 In
0.000 0.500 0.741 Tc
0.500 0.000 0.241 Tc
0.000 0.000 0.350 Te
0.000 0.500 0.168 Te
0.500 0.000 0.668 Te
0.500 0.500 0.850 Te
```

Principal peaks in the range 2θ from 15° to 90°, in order of rising 2θ:
2θ (°)  I/Imax
27.4  49.2
27.7  22.6
30.3  100.0
30.6  28.2
35.8  68.6
39.9  89.6
42.6  22.2
43.1  26.9
50.4  33.9
65.3  21.5
68.0  20.5
80.4  18.7